Starting from a cell relaxed with GGA-PBE, the powder XRD pattern of Tl2InBi2Pb was simulated for a wavelength of 1.5418 Å.
Neutral-atom scattering factors, no anomalous dispersion.

Principal peaks in the range 5° ≤ 2θ ≤ 70°, sorted by position:
index	2theta	d_spacing	intensity
1 2 1	27.4	3.256	17.0
0 2 2	29.6	3.013	27.7
1 0 2	30.2	2.961	39.5
1 3 0	31.1	2.879	100.0
1 1 2	31.4	2.851	78.6
0 3 2	35.3	2.540	22.9
2 0 0	35.9	2.504	43.1
0 4 2	42.2	2.143	16.2
2 2 2	47.2	1.926	15.8
2 3 2	51.2	1.783	16.1

Structural model:
```
data_Tl2InBi2Pb
_symmetry_space_group_name_H-M 'P m c 21'
_symmetry_Int_Tables_number 26
_symmetry_space_group_name_Hall 'P 2c -2'
_cell_length_a 5.0078
_cell_length_b 10.5550
_cell_length_c 7.3415
_cell_angle_alpha 90.00
_cell_angle_beta 90.00
_cell_angle_gamma 90.00
loop_
_atom_site_label
_atom_site_type_symbol
_atom_site_fract_x
_atom_site_fract_y
_atom_site_fract_z
Tl1 Tl 0.0000 0.0233 0.0000
Tl2 Tl 0.5000 0.1621 0.2602
In1 In 0.0000 0.3272 0.6103
Bi1 Bi 0.0000 0.3690 0.1872
Bi2 Bi 0.5000 0.1690 0.7327
Pb1 Pb 0.5000 0.4596 0.8946
```